# 1
Co5Mo: theoretical X-ray diffraction stick pattern (Cu Ka), based on a crystal structure in Alexandria, relaxed with PBE.

Main lines, in order of rising 2θ (15 to 90 degrees two-theta):
(0 0 1), 2θ = 22.0°, I = 1.3; (1 0 0), 2θ = 23.3°, I = 1.6; (1 0 1), 2θ = 32.2°, I = 5.3; (1 1 0), 2θ = 40.9°, I = 25.9; (0 0 2), 2θ = 44.8°, I = 25.8; (1 1 1), 2θ = 46.9°, I = 100.0; (2 0 0), 2θ = 47.6°, I = 1.4; (1 1 2), 2θ = 62.3°, I = 13.8; (2 0 2), 2θ = 67.4°, I = 1.0; (3 0 0), 2θ = 74.5°, I = 14.9; (1 1 3), 2θ = 84.2°, I = 16.5; (2 2 0), 2θ = 88.7°, I = 2.5

Crystal structure
```
data_Co5Mo
_space_group_name_H-M_alt 'P -6 2 m'
_space_group_IT_number 189
_space_group_name_Hall 'P -6 -2'
_cell_length_a 4.4127
_cell_length_b 4.4127
_cell_length_c 4.0442
_cell_angle_alpha 90.00
_cell_angle_beta 90.00
_cell_angle_gamma 120.00
loop_
_atom_site_label
_atom_site_fract_x
_atom_site_fract_y
_atom_site_fract_z
Co1 0.0000 0.6493 0.0000
Co2 0.3333 0.6667 0.5000
Mo1 0.0000 0.0000 0.5000
```



# 2
BaSrY4O8: theoretical X-ray diffraction stick pattern (Cu Ka), based on a crystal structure in Alexandria, relaxed with PBE.

Main lines, in order of rising 2θ (15 to 90 degrees two-theta):
(0 4 0), 2θ = 29.4°, I = 48.0; (0 2 3), 2θ = 29.8°, I = 100.0; (1 2 1), 2θ = 31.0°, I = 52.1; (1 0 2), 2θ = 31.1°, I = 26.7; (1 3 1), 2θ = 35.2°, I = 33.2; (1 4 2), 2θ = 43.3°, I = 39.4; (1 0 4), 2θ = 43.7°, I = 17.1; (2 0 0), 2θ = 52.9°, I = 17.9; (0 0 6), 2θ = 53.1°, I = 24.4; (1 4 4), 2θ = 53.5°, I = 18.4; (2 4 0), 2θ = 61.7°, I = 15.7; (2 2 3), 2θ = 61.9°, I = 37.3

Crystal structure
```
data_BaSrY4O8
_space_group_name_H-M_alt 'P m c 21'
_space_group_IT_number 26
_cell_length_a 3.463
_cell_length_b 12.155
_cell_length_c 10.355
_cell_angle_alpha 90.00
_cell_angle_beta 90.00
_cell_angle_gamma 90.00
loop_
_space_group_symop_operation_xyz
'x,y,z'
'-x,-y,z+1/2'
'-x,y,z'
'x,-y,z+1/2'
loop_
_atom_site_label
_atom_site_fract_x
_atom_site_fract_y
_atom_site_fract_z
Ba1 0.000 0.100 0.000
Sr1 0.500 0.398 0.508
Y1 0.000 0.143 0.329
Y2 0.000 0.363 0.831
Y3 0.500 0.144 0.675
Y4 0.500 0.366 0.180
O1 0.000 0.034 0.734
O2 0.000 0.274 0.630
O3 0.000 0.330 0.331
O4 0.000 0.422 0.044
O5 0.500 0.090 0.463
O6 0.500 0.180 0.184
O7 0.500 0.234 0.871
O8 0.500 0.466 0.770
```



# 3
Na5B2F12: theoretical X-ray diffraction stick pattern (Cu Ka), based on a crystal structure in Alexandria, relaxed with PBE.

Main lines, in order of rising 2θ (15 to 90 degrees two-theta):
(2 0 0), 2θ = 15.0°, I = 62.5; (2 0 -1), 2θ = 15.8°, I = 37.5; (2 0 1), 2θ = 21.8°, I = 100.0; (0 0 2), 2θ = 23.3°, I = 45.9; (1 1 -2), 2θ = 26.4°, I = 78.0; (3 1 0), 2θ = 26.9°, I = 41.1; (1 1 -3), 2θ = 36.7°, I = 36.9; (0 2 2), 2θ = 37.3°, I = 81.9; (4 2 0), 2θ = 42.3°, I = 31.2; (4 2 -2), 2θ = 43.5°, I = 73.4; (0 2 3), 2θ = 46.1°, I = 29.6; (6 2 -1), 2θ = 53.2°, I = 26.5

Crystal structure
```
data_Na5B2F12
_space_group_name_H-M_alt 'C 1 2/m 1'
_space_group_IT_number 12
_cell_length_a 12.433
_cell_length_b 6.214
_cell_length_c 8.052
_cell_angle_alpha 90.00
_cell_angle_beta 108.59
_cell_angle_gamma 90.00
loop_
_space_group_symop_operation_xyz
'x,y,z'
'-x,-y,-z'
'-x,y,-z'
'x,-y,z'
'x+1/2,y+1/2,z'
'-x+1/2,-y+1/2,-z'
'-x+1/2,y+1/2,-z'
'x+1/2,-y+1/2,z'
loop_
_atom_site_label
_atom_site_fract_x
_atom_site_fract_y
_atom_site_fract_z
Na1 0.000 0.000 0.000
Na2 0.114 0.500 0.242
Na3 0.226 0.500 0.946
B1 0.000 0.184 0.500
F1 0.033 0.000 0.643
F2 0.058 0.500 0.764
F3 0.095 0.277 0.495
F4 0.149 0.238 0.087
```



# 4
Cs4Sr3H10: theoretical X-ray diffraction stick pattern (Cu Ka), based on a crystal structure in Alexandria, relaxed with PBE.

Main lines, in order of rising 2θ (15 to 90 degrees two-theta):
(1 0 7), 2θ = 25.6°, I = 100.0; (1 1 0), 2θ = 26.1°, I = 52.1; (0 0 14), 2θ = 35.9°, I = 8.7; (2 0 0), 2θ = 37.2°, I = 21.1; (1 1 14), 2θ = 44.9°, I = 17.4; (2 1 7), 2θ = 45.7°, I = 41.2; (2 0 14), 2θ = 52.6°, I = 11.2; (3 0 7), 2θ = 60.3°, I = 9.2; (3 1 0), 2θ = 60.5°, I = 9.7; (3 1 14), 2θ = 72.4°, I = 8.5; (3 2 7), 2θ = 73.0°, I = 10.4; (4 1 7), 2θ = 84.9°, I = 7.2

Crystal structure
```
data_Cs4Sr3H10
_space_group_name_H-M_alt 'I 4/m m m'
_space_group_IT_number 139
_space_group_name_Hall '-I 4 2'
_cell_length_a 4.836
_cell_length_b 4.836
_cell_length_c 35.046
_cell_angle_alpha 90.00
_cell_angle_beta 90.00
_cell_angle_gamma 90.00
loop_
_atom_site_label
_atom_site_fract_x
_atom_site_fract_y
_atom_site_fract_z
Cs1 0.000 0.000 0.069
Cs2 0.000 0.000 0.204
Sr1 0.000 0.000 0.361
Sr2 0.000 0.000 0.500
H1 0.000 0.000 0.291
H2 0.000 0.000 0.431
H3 0.000 0.500 0.000
H4 0.000 0.500 0.139
```



# 5
Tb5Pm2SmTh: theoretical X-ray diffraction stick pattern (Cu Ka), based on a crystal structure in Alexandria, relaxed with PBE.

Main lines, in order of rising 2θ (15 to 90 degrees two-theta):
(0 6 1), 2θ = 26.4°, I = 12.9; (2 0 0), 2θ = 31.0°, I = 36.3; (1 5 2), 2θ = 31.6°, I = 100.0; (1 7 0), 2θ = 33.0°, I = 10.4; (1 3 3), 2θ = 33.8°, I = 10.4; (1 7 1), 2θ = 34.2°, I = 17.8; (2 6 1), 2θ = 41.2°, I = 7.9; (0 6 5), 2θ = 53.0°, I = 11.7; (3 5 2), 2θ = 55.6°, I = 20.4; (1 11 3), 2θ = 57.0°, I = 8.9; (1 1 6), 2θ = 58.6°, I = 5.4; (2 6 5), 2θ = 62.7°, I = 11.8

Crystal structure
```
data_Tb5Pm2SmTh
_space_group_name_H-M_alt 'C m c 21'
_space_group_IT_number 36
_cell_length_a 5.761
_cell_length_b 21.570
_cell_length_c 9.861
_cell_angle_alpha 90.00
_cell_angle_beta 90.00
_cell_angle_gamma 90.00
loop_
_space_group_symop_operation_xyz
'x,y,z'
'-x,-y,z+1/2'
'-x,y,z'
'x,-y,z+1/2'
'x+1/2,y+1/2,z'
'-x+1/2,-y+1/2,z+1/2'
'-x+1/2,y+1/2,z'
'x+1/2,-y+1/2,z+1/2'
loop_
_atom_site_label
_atom_site_fract_x
_atom_site_fract_y
_atom_site_fract_z
Tb1 0.000 0.015 0.000
Tb2 0.000 0.273 0.307
Tb3 0.000 0.305 0.696
Tb4 0.000 0.399 0.024
Tb5 0.000 0.469 0.723
Pm1 0.000 0.116 0.314
Pm2 0.000 0.128 0.695
Sm1 0.000 0.190 0.000
Th1 0.000 0.407 0.407
```



# 6
BaCuF5: theoretical X-ray diffraction stick pattern (Cu Ka), based on a crystal structure in Alexandria, relaxed with PBE.

Main lines, in order of rising 2θ (15 to 90 degrees two-theta):
(2 0 0), 2θ = 23.3°, I = 61.3; (0 0 2), 2θ = 23.9°, I = 45.5; (1 2 1), 2θ = 28.3°, I = 100.0; (2 0 2), 2θ = 33.7°, I = 13.2; (2 2 2), 2θ = 41.0°, I = 18.3; (3 2 1), 2θ = 44.2°, I = 28.5; (1 2 3), 2θ = 44.9°, I = 22.9; (2 1 3), 2θ = 45.1°, I = 11.6; (0 4 0), 2θ = 46.3°, I = 14.4; (4 0 0), 2θ = 47.7°, I = 15.2; (0 4 2), 2θ = 52.8°, I = 12.2; (4 4 0), 2θ = 68.6°, I = 11.6

Crystal structure
```
data_BaCuF5
_space_group_name_H-M_alt 'I m m a'
_space_group_IT_number 74
_space_group_name_Hall '-I 2b 2'
_cell_length_a 7.628
_cell_length_b 7.845
_cell_length_c 7.433
_cell_angle_alpha 90.00
_cell_angle_beta 90.00
_cell_angle_gamma 90.00
loop_
_atom_site_label
_atom_site_fract_x
_atom_site_fract_y
_atom_site_fract_z
Ba1 0.000 0.250 0.039
Cu1 0.000 0.000 0.500
F1 0.000 0.046 0.748
F2 0.000 0.250 0.423
F3 0.247 0.000 0.500
```



# 7
Li2AlCu: theoretical X-ray diffraction stick pattern (Cu Ka), based on a crystal structure in Alexandria, relaxed with PBE.

Main lines, in order of rising 2θ (15 to 90 degrees two-theta):
(0 0 1), 2θ = 15.9°, I = 100.0; (0 1 0), 2θ = 22.7°, I = 13.2; (0 1 1), 2θ = 27.8°, I = 33.6; (1 0 1), 2θ = 37.6°, I = 15.0; (0 1 2), 2θ = 39.6°, I = 37.6; (1 1 0), 2θ = 41.1°, I = 36.1; (1 1 1), 2θ = 44.3°, I = 28.4; (0 2 0), 2θ = 46.4°, I = 12.6; (1 0 2), 2θ = 47.3°, I = 22.2; (0 2 1), 2θ = 49.3°, I = 10.2; (1 2 2), 2θ = 68.4°, I = 13.8; (2 1 2), 2θ = 84.6°, I = 11.2

Crystal structure
```
data_Li2AlCu
_space_group_name_H-M_alt 'P m m 2'
_space_group_IT_number 25
_cell_length_a 2.651
_cell_length_b 3.916
_cell_length_c 5.585
_cell_angle_alpha 90.00
_cell_angle_beta 90.00
_cell_angle_gamma 90.00
loop_
_space_group_symop_operation_xyz
'x,y,z'
'-x,-y,z'
'-x,y,z'
'x,-y,z'
loop_
_atom_site_label
_atom_site_fract_x
_atom_site_fract_y
_atom_site_fract_z
Li1 0.000 0.000 0.000
Li2 0.500 0.500 0.258
Al1 0.000 0.000 0.534
Cu1 0.500 0.500 0.737
```



# 8
CeBS: theoretical X-ray diffraction stick pattern (Cu Ka), based on a crystal structure in Alexandria, relaxed with PBE.

Main lines, in order of rising 2θ (15 to 90 degrees two-theta):
(1 1 0), 2θ = 22.7°, I = 61.5; (0 4 0), 2θ = 25.6°, I = 76.7; (0 2 1), 2θ = 28.3°, I = 62.5; (1 1 1), 2θ = 34.2°, I = 100.0; (1 3 1), 2θ = 38.9°, I = 78.1; (1 5 0), 2θ = 39.1°, I = 53.4; (2 0 0), 2θ = 44.3°, I = 26.8; (0 6 1), 2θ = 46.8°, I = 22.1; (2 4 0), 2θ = 51.9°, I = 21.9; (2 2 1), 2θ = 53.5°, I = 23.1; (0 4 2), 2θ = 58.6°, I = 21.9; (1 5 2), 2θ = 66.7°, I = 21.5

Crystal structure
```
data_CeBS
_space_group_name_H-M_alt 'C m c m'
_space_group_IT_number 63
_space_group_name_Hall '-C 2c 2'
_cell_length_a 4.085
_cell_length_b 13.926
_cell_length_c 3.534
_cell_angle_alpha 90.00
_cell_angle_beta 90.00
_cell_angle_gamma 90.00
loop_
_atom_site_label
_atom_site_fract_x
_atom_site_fract_y
_atom_site_fract_z
Ce1 0.000 0.112 0.250
B1 0.000 0.476 0.250
S1 0.000 0.337 0.250
```



# 9
Gd2Fe17N2: theoretical X-ray diffraction stick pattern (Cu Ka), based on a crystal structure in Alexandria, relaxed with PBE.

Main lines, in order of rising 2θ (15 to 90 degrees two-theta):
(3 1 0), 2θ = 30.1°, I = 67.9; (1 3 1), 2θ = 36.4°, I = 39.7; (4 0 0), 2θ = 37.9°, I = 49.4; (0 4 0), 2θ = 42.2°, I = 40.0; (2 2 2), 2θ = 42.5°, I = 75.6; (3 3 0), 2θ = 42.7°, I = 100.0; (0 0 3), 2θ = 42.9°, I = 50.0; (4 2 0), 2θ = 43.7°, I = 22.5; (4 0 -2), 2θ = 43.8°, I = 52.7; (4 2 -1), 2θ = 44.0°, I = 22.0; (6 2 -1), 2θ = 62.0°, I = 25.1; (2 2 -4), 2θ = 62.7°, I = 25.9

Crystal structure
```
data_Gd2Fe17N2
_space_group_name_H-M_alt 'C 1 2/m 1'
_space_group_IT_number 12
_cell_length_a 9.608
_cell_length_b 8.563
_cell_length_c 6.410
_cell_angle_alpha 90.00
_cell_angle_beta 99.39
_cell_angle_gamma 90.00
loop_
_space_group_symop_operation_xyz
'x,y,z'
'-x,-y,-z'
'-x,y,-z'
'x,-y,z'
'x+1/2,y+1/2,z'
'-x+1/2,-y+1/2,-z'
'-x+1/2,y+1/2,-z'
'x+1/2,-y+1/2,z'
loop_
_atom_site_label
_atom_site_fract_x
_atom_site_fract_y
_atom_site_fract_z
Gd1 0.154 0.000 0.340
Fe1 0.000 0.225 0.000
Fe2 0.000 0.500 0.500
Fe3 0.095 0.500 0.905
Fe4 0.099 0.253 0.661
Fe5 0.142 0.361 0.287
Fe6 0.154 0.000 0.856
Fe7 0.250 0.250 0.000
N1 0.250 0.250 0.500
```



# 10
Ba7NaAu5: theoretical X-ray diffraction stick pattern (Cu Ka), based on a crystal structure in Alexandria, relaxed with PBE.

Main lines, in order of rising 2θ (15 to 90 degrees two-theta):
(2 0 7), 2θ = 24.2°, I = 40.4; (3 1 1), 2θ = 25.1°, I = 37.0; (3 1 2), 2θ = 25.7°, I = 95.0; (3 1 -3), 2θ = 26.6°, I = 100.0; (2 0 8), 2θ = 27.1°, I = 67.9; (3 1 -4), 2θ = 27.8°, I = 47.2; (1 1 10), 2θ = 36.7°, I = 46.1; (5 1 5), 2θ = 37.1°, I = 90.2; (0 2 0), 2θ = 37.3°, I = 53.7; (6 0 6), 2θ = 38.6°, I = 48.0; (1 1 11), 2θ = 39.4°, I = 33.1; (2 2 -8), 2θ = 46.7°, I = 36.8

Crystal structure
```
data_Ba7NaAu5
_space_group_name_H-M_alt 'C 1 2/m 1'
_space_group_IT_number 12
_cell_length_a 16.023
_cell_length_b 4.818
_cell_length_c 28.920
_cell_angle_alpha 90.00
_cell_angle_beta 90.11
_cell_angle_gamma 90.00
loop_
_space_group_symop_operation_xyz
'x,y,z'
'-x,-y,-z'
'-x,y,-z'
'x,-y,z'
'x+1/2,y+1/2,z'
'-x+1/2,-y+1/2,-z'
'-x+1/2,y+1/2,-z'
'x+1/2,-y+1/2,z'
loop_
_atom_site_label
_atom_site_fract_x
_atom_site_fract_y
_atom_site_fract_z
Ba1 0.017 0.000 0.250
Ba2 0.093 0.500 0.396
Ba3 0.094 0.500 0.104
Ba4 0.134 0.000 0.535
Ba5 0.134 0.000 0.965
Ba6 0.168 0.500 0.835
Ba7 0.170 0.500 0.665
Na1 0.212 0.500 0.249
Au1 0.000 0.500 0.000
Au2 0.000 0.500 0.500
Au3 0.037 0.000 0.860
Au4 0.039 0.000 0.640
Au5 0.228 0.000 0.069
Au6 0.228 0.000 0.431
```



# 11
SmS6Cl2: theoretical X-ray diffraction stick pattern (Cu Ka), based on a crystal structure in Alexandria, relaxed with PBE.

Main lines, in order of rising 2θ (15 to 90 degrees two-theta):
(0 1 1), 2θ = 18.8°, I = 99.7; (0 1 -2), 2θ = 19.8°, I = 58.8; (1 0 0), 2θ = 21.3°, I = 100.0; (1 1 -1), 2θ = 24.6°, I = 55.9; (1 -1 1), 2θ = 25.0°, I = 46.2; (0 1 2), 2θ = 28.1°, I = 72.6; (1 1 -2), 2θ = 28.5°, I = 72.0; (0 2 1), 2θ = 30.1°, I = 41.7; (1 -2 1), 2θ = 31.0°, I = 86.5; (0 0 3), 2θ = 31.7°, I = 37.0; (1 2 1), 2θ = 38.1°, I = 40.1; (1 -3 2), 2θ = 41.0°, I = 38.0

Crystal structure
```
data_SmS6Cl2
_space_group_name_H-M_alt 'P -1'
_space_group_IT_number 2
_cell_length_a 4.185
_cell_length_b 7.933
_cell_length_c 9.178
_cell_angle_alpha 112.42
_cell_angle_beta 93.10
_cell_angle_gamma 90.77
loop_
_space_group_symop_operation_xyz
'x,y,z'
'-x,-y,-z'
loop_
_atom_site_label
_atom_site_fract_x
_atom_site_fract_y
_atom_site_fract_z
Sm1 0.000 0.000 0.000
S1 0.099 0.724 0.451
S2 0.109 0.281 0.305
S3 0.110 0.495 0.716
Cl1 0.498 0.161 0.909
```



# 12
Mg6ZnAg2: theoretical X-ray diffraction stick pattern (Cu Ka), based on a crystal structure in Alexandria, relaxed with PBE.

Main lines, in order of rising 2θ (15 to 90 degrees two-theta):
(0 0 2), 2θ = 20.2°, I = 6.8; (0 1 1), 2θ = 23.7°, I = 42.1; (0 1 2), 2θ = 29.6°, I = 13.3; (1 1 0), 2θ = 37.5°, I = 100.0; (1 1 2), 2θ = 42.9°, I = 5.6; (2 0 1), 2θ = 44.8°, I = 7.5; (0 2 3), 2θ = 54.1°, I = 16.4; (1 1 4), 2θ = 56.8°, I = 11.5; (1 2 1), 2θ = 59.8°, I = 6.1; (3 0 0), 2θ = 67.6°, I = 24.3; (0 1 6), 2θ = 67.7°, I = 6.4; (2 2 0), 2θ = 79.9°, I = 5.0

Crystal structure
```
data_Mg6ZnAg2
_space_group_name_H-M_alt 'P -3 m 1'
_space_group_IT_number 164
_space_group_name_Hall '-P 3 2"'
_cell_length_a 4.8020
_cell_length_b 4.8020
_cell_length_c 8.8008
_cell_angle_alpha 90.00
_cell_angle_beta 90.00
_cell_angle_gamma 120.00
loop_
_atom_site_label
_atom_site_fract_x
_atom_site_fract_y
_atom_site_fract_z
Mg1 0.0000 0.0000 0.1880
Mg2 0.3333 0.6667 0.0578
Mg3 0.3333 0.6667 0.4043
Zn1 0.0000 0.0000 0.5000
Ag1 0.3333 0.6667 0.7380
```



Which formula does entry 12 have?
Mg6ZnAg2